1.
Hf2Co3W4N3: simulated powder diffractogram (Cu Kα), based on a DFT-relaxed cell (PBE, OQMD).
Kinematic intensities with the Lorentz-polarization factor, no thermal factor.

Structure:
a b c (Å): 5.152 5.152 13.359
angles (deg): 100.90 100.90 60.42
Positions (direct):
Hf: 0.040 0.880 0.626
Hf: 0.120 0.960 0.874
Hf: 0.880 0.040 0.126
Hf: 0.960 0.120 0.374
Co: 0.085 0.424 0.749
Co: 0.403 0.597 0.250
Co: 0.424 0.085 0.249
Co: 0.576 0.915 0.751
Co: 0.597 0.403 0.750
Co: 0.915 0.576 0.251
W: 0.200 0.369 0.091
W: 0.314 0.460 0.410
W: 0.369 0.200 0.591
W: 0.460 0.314 0.910
W: 0.540 0.686 0.090
W: 0.631 0.800 0.409
W: 0.686 0.540 0.590
W: 0.800 0.631 0.909
N: 0.000 0.500 0.500
N: 0.145 0.707 0.000
N: 0.293 0.855 0.500
N: 0.500 0.000 0.000
N: 0.707 0.145 0.500
N: 0.855 0.293 0.000

Most intense lines, 2θ from 10° to 90°, low angle first:
2θ = 27.37°, intensity 61
2θ = 34.83°, intensity 34
2θ = 35.30°, intensity 44
2θ = 35.52°, intensity 96
2θ = 40.52°, intensity 92
2θ = 40.66°, intensity 96
2θ = 40.78°, intensity 100
2θ = 41.57°, intensity 44
2θ = 62.15°, intensity 39
2θ = 73.95°, intensity 29



2.
Ba2Cd2Sb2O: simulated powder diffractogram (Cu Kα), based on a DFT-relaxed cell (PBE, OQMD).
Kinematic intensities with the Lorentz-polarization factor, no thermal factor.

Structure:
a b c (Å): 4.772 4.772 21.014
angles (deg): 90.00 90.00 120.00
Positions (direct):
Ba: 0.000 0.000 0.000
Ba: 0.000 0.000 0.250
Ba: 0.000 0.000 0.500
Ba: 0.000 0.000 0.750
Cd: 0.333 0.667 0.141
Cd: 0.333 0.667 0.359
Cd: 0.667 0.333 0.641
Cd: 0.667 0.333 0.859
Sb: 0.333 0.667 0.605
Sb: 0.333 0.667 0.895
Sb: 0.667 0.333 0.105
Sb: 0.667 0.333 0.395
O: 0.333 0.667 0.250
O: 0.667 0.333 0.750

Most intense lines, 2θ from 10° to 90°, low angle first:
2θ = 25.02°, intensity 8
2θ = 27.46°, intensity 100
2θ = 34.13°, intensity 14
2θ = 37.70°, intensity 56
2θ = 44.57°, intensity 10
2θ = 47.27°, intensity 22
2θ = 51.76°, intensity 25
2θ = 61.98°, intensity 20
2θ = 68.05°, intensity 9
2θ = 87.00°, intensity 8



3.
Cu3Ag4: simulated powder diffractogram (Cu Kα), based on a DFT-relaxed cell (PBE, OQMD).
Kinematic intensities with the Lorentz-polarization factor, no thermal factor.

Structure:
a b c (Å): 4.982 4.982 7.864
angles (deg): 90.57 90.57 33.38
Positions (direct):
Cu: 0.000 0.000 0.000
Cu: 0.564 0.564 0.256
Cu: 0.672 0.672 0.840
Ag: 0.122 0.122 0.552
Ag: 0.276 0.276 0.102
Ag: 0.396 0.396 0.730
Ag: 0.851 0.851 0.404

Most intense lines, 2θ from 10° to 90°, low angle first:
2θ = 34.65°, intensity 11
2θ = 39.37°, intensity 100
2θ = 40.04°, intensity 100
2θ = 44.17°, intensity 79
2θ = 49.99°, intensity 20
2θ = 63.29°, intensity 11
2θ = 65.20°, intensity 12
2θ = 68.90°, intensity 27
2θ = 77.59°, intensity 21
2θ = 78.89°, intensity 26



4.
RbRe8: simulated powder diffractogram (Cu Kα), based on a DFT-relaxed cell (PBE, OQMD).
Kinematic intensities with the Lorentz-polarization factor, no thermal factor.

Structure:
a b c (Å): 8.503 8.503 8.443
angles (deg): 90.01 90.01 144.85
Positions (direct):
Rb: 0.127 0.873 0.750
Rb: 0.873 0.127 0.250
Re: 0.073 0.204 0.890
Re: 0.095 0.662 0.114
Re: 0.183 0.547 0.608
Re: 0.204 0.073 0.390
Re: 0.326 0.391 0.616
Re: 0.338 0.905 0.386
Re: 0.391 0.326 0.116
Re: 0.453 0.817 0.892
Re: 0.547 0.183 0.108
Re: 0.609 0.674 0.884
Re: 0.662 0.095 0.614
Re: 0.674 0.609 0.384
Re: 0.796 0.927 0.610
Re: 0.817 0.453 0.392
Re: 0.905 0.338 0.886
Re: 0.927 0.796 0.110

Most intense lines, 2θ from 10° to 90°, low angle first:
2θ = 15.15°, intensity 100
2θ = 33.71°, intensity 48
2θ = 34.86°, intensity 44
2θ = 38.29°, intensity 44
2θ = 41.15°, intensity 86
2θ = 42.84°, intensity 38
2θ = 46.60°, intensity 22
2θ = 48.20°, intensity 15
2θ = 50.19°, intensity 34
2θ = 62.38°, intensity 16



5.
Sc2ZnIr: simulated powder diffractogram (Cu Kα), based on a DFT-relaxed cell (PBE, OQMD).
Kinematic intensities with the Lorentz-polarization factor, no thermal factor.

Structure:
a b c (Å): 4.631 13.894 6.556
angles (deg): 90.00 90.00 90.00
Positions (direct):
Sc: 0.000 0.000 0.250
Sc: 0.000 0.000 0.750
Sc: 0.001 0.333 0.250
Sc: 0.001 0.333 0.750
Sc: 0.499 0.833 0.250
Sc: 0.499 0.833 0.750
Sc: 0.500 0.500 0.250
Sc: 0.500 0.500 0.750
Sc: 0.501 0.167 0.250
Sc: 0.501 0.167 0.750
Sc: 0.999 0.667 0.250
Sc: 0.999 0.667 0.750
Zn: 0.000 0.500 0.000
Zn: 0.002 0.167 0.000
Zn: 0.498 0.667 0.500
Zn: 0.500 0.000 0.500
Zn: 0.502 0.333 0.500
Zn: 0.998 0.833 0.000
Ir: 0.000 0.500 0.500
Ir: 0.001 0.833 0.500
Ir: 0.499 0.333 0.000
Ir: 0.500 0.000 0.000
Ir: 0.501 0.667 0.000
Ir: 0.999 0.167 0.500

Most intense lines, 2θ from 10° to 90°, low angle first:
2θ = 23.52°, intensity 27
2θ = 27.22°, intensity 30
2θ = 38.88°, intensity 100
2θ = 45.94°, intensity 14
2θ = 48.11°, intensity 9
2θ = 56.16°, intensity 17
2θ = 61.72°, intensity 6
2θ = 63.50°, intensity 12
2θ = 70.41°, intensity 33
2θ = 83.46°, intensity 10



6.
LiTa3Pb5: simulated powder diffractogram (Cu Kα), based on a DFT-relaxed cell (PBE, OQMD).
Kinematic intensities with the Lorentz-polarization factor, no thermal factor.

Structure:
a b c (Å): 5.744 5.744 9.041
angles (deg): 90.00 90.00 120.00
Positions (direct):
Li: 0.000 0.000 0.000
Ta: 0.000 0.500 0.500
Ta: 0.500 0.000 0.500
Ta: 0.500 0.500 0.500
Pb: 0.000 0.000 0.500
Pb: 0.333 0.667 0.206
Pb: 0.333 0.667 0.794
Pb: 0.667 0.333 0.206
Pb: 0.667 0.333 0.794

Most intense lines, 2θ from 10° to 90°, low angle first:
2θ = 17.83°, intensity 49
2θ = 26.64°, intensity 38
2θ = 29.64°, intensity 61
2θ = 31.14°, intensity 65
2θ = 37.08°, intensity 50
2θ = 37.50°, intensity 79
2θ = 41.43°, intensity 100
2θ = 43.53°, intensity 29
2θ = 63.62°, intensity 31
2θ = 72.98°, intensity 29